Simulated X-ray powder pattern of BaCu2Ag2O4 for Cu Kα (weighted mean of Kα1 and Kα2), from a PBE-relaxed structure.

Largest 10 diffraction maxima, low angle first, 10° ≤ 2θ ≤ 90°:
(hkl)  2θ (°)  I_rel
1 1 1  23.2  16
2 0 1  30.3  100
1 1 2  32.3  45
2 0 2  37.9  13
2 2 0  39.0  56
2 0 3  48.3  20
3 1 2  51.5  19
4 0 0  56.4  19
4 2 1  65.3  22
2 2 4  67.6  16

Cell and atoms:
```
BaCu2Ag2O4
1.0
6.5269 0.0000 0.0000
0.0000 6.5269 0.0000
0.0000 0.0000 6.9279
Ba Cu Ag O
2 4 4 8
Direct
0.2500 0.2500 0.0000
0.7500 0.7500 0.0000
0.2500 0.7500 0.2224
0.2500 0.7500 0.7776
0.7500 0.2500 0.2224
0.7500 0.2500 0.7776
0.0000 0.0000 0.5000
0.0000 0.5000 0.5000
0.5000 0.0000 0.5000
0.5000 0.5000 0.5000
0.0560 0.5560 0.2113
0.0560 0.9440 0.7887
0.4440 0.5560 0.7887
0.4440 0.9440 0.2113
0.5560 0.0560 0.7887
0.5560 0.4440 0.2113
0.9440 0.0560 0.2113
0.9440 0.4440 0.7887
```